Record 1
For LiAl2ZnCu4, a crystal structure in OQMD, relaxed with PBE gives the computed PXRD pattern in this record (Cu Ka).
Kinematic intensities with the Lorentz-polarization factor, no thermal factor.

Crystal structure
```
LiAl2ZnCu4
1.0
-2.917 2.917 5.973
2.917 -2.917 5.973
2.917 2.917 -5.973
Li Al Zn Cu
2 4 2 8
Direct
0.375 0.625 0.750 Li
0.625 0.375 0.250 Li
0.125 0.375 0.750 Al
0.375 0.125 0.250 Al
0.625 0.875 0.750 Al
0.875 0.625 0.250 Al
0.125 0.875 0.250 Zn
0.875 0.125 0.750 Zn
0.000 0.255 0.255 Cu
0.000 0.745 0.745 Cu
0.255 0.000 0.755 Cu
0.255 0.500 0.255 Cu
0.500 0.255 0.755 Cu
0.500 0.745 0.245 Cu
0.745 0.000 0.245 Cu
0.745 0.500 0.745 Cu
```

Peak list (12 most intense, 2θ = 10–90°, by angle)
2theta  I/Imax
16.91  12
27.11  6
29.92  9
30.65  17
35.21  6
43.36  100
43.90  48
54.04  6
62.16  8
63.83  15
79.19  15
80.32  29

Record 2
For Cu3Ag, a crystal structure in OQMD, relaxed with PBE gives the computed PXRD pattern in this record (Cu Ka).
Kinematic intensities with the Lorentz-polarization factor, no thermal factor.

Crystal structure
```
Cu3Ag
1.0
7.433 0.000 0.000
0.000 10.664 0.000
0.000 0.000 2.699
Cu Ag
12 4
Direct
0.000 0.123 0.000 Cu
0.000 0.877 0.000 Cu
0.229 0.000 0.500 Cu
0.250 0.250 0.500 Cu
0.250 0.750 0.500 Cu
0.271 0.500 0.500 Cu
0.500 0.377 0.000 Cu
0.500 0.623 0.000 Cu
0.729 0.500 0.500 Cu
0.750 0.250 0.500 Cu
0.750 0.750 0.500 Cu
0.771 0.000 0.500 Cu
0.000 0.373 0.000 Ag
0.000 0.627 0.000 Ag
0.500 0.127 0.000 Ag
0.500 0.873 0.000 Ag
```

Peak list (12 most intense, 2θ = 10–90°, by angle)
2theta  I/Imax
41.34  100
41.70  97
47.96  64
49.02  28
69.68  10
70.67  9
71.01  35
84.60  22
85.31  22
86.43  9
86.67  9
89.82  9

Record 3
For La2DyCd4Si4, a crystal structure in OQMD, relaxed with PBE gives the computed PXRD pattern in this record (Cu Ka).
Kinematic intensities with the Lorentz-polarization factor, no thermal factor.

Crystal structure
```
La2DyCd4Si4
1.0
-2.128 2.207 13.195
2.128 -2.207 13.195
2.128 2.207 -13.195
La Dy Cd Si
2 1 4 4
Direct
0.142 0.142 0.000 La
0.858 0.858 0.000 La
0.500 0.000 0.500 Dy
0.250 0.750 0.500 Cd
0.410 0.410 0.000 Cd
0.590 0.590 0.000 Cd
0.750 0.250 0.500 Cd
0.044 0.544 0.500 Si
0.314 0.314 0.000 Si
0.686 0.686 0.000 Si
0.956 0.456 0.500 Si
```

Peak list (12 most intense, 2θ = 10–90°, by angle)
2theta  I/Imax
22.54  15
27.03  11
31.70  32
32.21  100
40.90  20
42.48  18
42.91  20
52.65  15
60.43  12
61.96  13
69.03  11
71.27  12

Record 4
For Cs2KAg7, a crystal structure in OQMD, relaxed with PBE gives the computed PXRD pattern in this record (Cu Ka).
Kinematic intensities with the Lorentz-polarization factor, no thermal factor.

Crystal structure
```
Cs2KAg7
1.0
2.924 -6.818 0.000
2.924 6.818 0.000
0.000 0.000 7.516
Cs K Ag
2 1 7
Direct
0.159 0.841 0.000 Cs
0.841 0.159 0.000 Cs
0.000 0.000 0.500 K
0.000 0.500 0.500 Ag
0.395 0.605 0.312 Ag
0.395 0.605 0.688 Ag
0.500 0.000 0.500 Ag
0.500 0.500 0.000 Ag
0.605 0.395 0.312 Ag
0.605 0.395 0.688 Ag
```

Peak list (12 most intense, 2θ = 10–90°, by angle)
2theta  I/Imax
16.50  61
27.54  100
28.99  40
30.58  34
34.56  49
35.52  47
36.35  21
40.66  30
41.51  31
44.90  26
47.81  44
56.88  50

Record 5
For Co2Pd3Se2, a crystal structure in OQMD, relaxed with PBE gives the computed PXRD pattern in this record (Cu Ka).
Kinematic intensities with the Lorentz-polarization factor, no thermal factor.

Crystal structure
```
Co2Pd3Se2
1.0
2.813 1.624 4.160
-2.813 1.624 4.160
0.000 -3.248 4.160
Co Pd Se
2 3 2
Direct
0.000 0.000 0.000 Co
0.500 0.500 0.500 Co
0.000 0.500 0.500 Pd
0.500 0.000 0.500 Pd
0.500 0.500 0.000 Pd
0.183 0.183 0.183 Se
0.817 0.817 0.817 Se
```

Peak list (12 most intense, 2θ = 10–90°, by angle)
2theta  I/Imax
21.36  29
23.16  19
31.81  32
37.62  100
38.64  82
39.72  66
43.51  48
47.35  62
52.49  53
61.28  21
66.48  43
82.86  42

Record 6
For TlAuBr2Cl2, a crystal structure in OQMD, relaxed with PBE gives the computed PXRD pattern in this record (Cu Ka).
Kinematic intensities with the Lorentz-polarization factor, no thermal factor.

Crystal structure
```
TlAuBr2Cl2
1.0
8.270 -4.710 0.000
8.270 4.710 0.000
-3.247 0.000 6.571
Tl Au Br Cl
2 2 4 4
Direct
0.184 0.816 0.000 Tl
0.816 0.184 0.000 Tl
0.000 0.500 0.000 Au
0.500 0.000 0.000 Au
0.171 0.637 0.285 Br
0.363 0.829 0.715 Br
0.637 0.171 0.285 Br
0.829 0.363 0.715 Br
0.094 0.517 0.764 Cl
0.483 0.906 0.236 Cl
0.517 0.094 0.764 Cl
0.906 0.483 0.236 Cl
```

Peak list (12 most intense, 2θ = 10–90°, by angle)
2theta  I/Imax
13.48  97
18.84  100
21.69  15
23.24  48
27.14  41
32.57  32
33.27  54
37.89  31
42.10  22
45.68  16
48.45  16
48.76  17

Record 7
For ZnInGaSe2S2, a crystal structure in OQMD, relaxed with PBE gives the computed PXRD pattern in this record (Cu Ka).
Kinematic intensities with the Lorentz-polarization factor, no thermal factor.

Crystal structure
```
ZnInGaSe2S2
1.0
7.906 0.000 0.000
0.000 10.841 0.000
-3.939 0.000 4.064
Zn In Ga Se S
2 2 2 4 4
Direct
0.000 0.000 0.000 Zn
0.500 0.500 0.000 Zn
0.000 0.503 0.000 In
0.500 0.003 0.000 In
0.000 0.760 0.500 Ga
0.500 0.260 0.500 Ga
0.225 0.144 0.478 Se
0.275 0.644 0.522 Se
0.725 0.644 0.478 Se
0.775 0.144 0.522 Se
0.235 0.870 0.990 S
0.265 0.370 0.010 S
0.735 0.370 0.990 S
0.765 0.870 0.010 S
```

Peak list (12 most intense, 2θ = 10–90°, by angle)
2theta  I/Imax
16.35  15
17.66  25
22.49  26
27.43  100
27.93  79
29.31  13
44.59  23
45.91  21
46.36  79
54.24  13
54.39  14
55.96  15

Record 8
For SmHfGa2Au2, a crystal structure in OQMD, relaxed with PBE gives the computed PXRD pattern in this record (Cu Ka).
Kinematic intensities with the Lorentz-polarization factor, no thermal factor.

Crystal structure
```
SmHfGa2Au2
1.0
4.415 0.000 0.000
-2.208 3.824 0.000
0.000 0.000 7.241
Sm Hf Ga Au
1 1 2 2
Direct
0.000 0.000 0.000 Sm
0.000 0.000 0.500 Hf
0.667 0.333 0.241 Ga
0.667 0.333 0.759 Ga
0.333 0.667 0.302 Au
0.333 0.667 0.698 Au
```

Peak list (12 most intense, 2θ = 10–90°, by angle)
2theta  I/Imax
12.22  11
23.26  19
26.36  9
34.10  100
40.88  70
44.38  18
54.26  27
66.84  14
70.11  25
74.43  12
76.88  8
88.60  8

Record 9
For HgAu2I2Br2, a crystal structure in OQMD, relaxed with PBE gives the computed PXRD pattern in this record (Cu Ka).
Kinematic intensities with the Lorentz-polarization factor, no thermal factor.

Crystal structure
```
HgAu2I2Br2
1.0
8.896 0.000 0.000
0.000 12.343 0.000
-4.388 0.000 4.481
Hg Au I Br
2 4 4 4
Direct
0.000 0.000 0.000 Hg
0.500 0.500 0.000 Hg
0.000 0.313 0.500 Au
0.000 0.467 0.000 Au
0.500 0.813 0.500 Au
0.500 0.967 0.000 Au
0.207 0.835 0.926 I
0.293 0.335 0.074 I
0.707 0.335 0.926 I
0.793 0.835 0.074 I
0.240 0.600 0.481 Br
0.260 0.100 0.519 Br
0.740 0.100 0.481 Br
0.760 0.600 0.519 Br
```

Peak list (12 most intense, 2θ = 10–90°, by angle)
2theta  I/Imax
14.35  28
15.68  11
24.55  33
24.67  100
32.56  12
35.37  30
40.26  17
40.57  21
40.76  15
41.04  16
47.54  13
48.03  14

Record 10
For TaB4As, a crystal structure in OQMD, relaxed with PBE gives the computed PXRD pattern in this record (Cu Ka).
Kinematic intensities with the Lorentz-polarization factor, no thermal factor.

Crystal structure
```
TaB4As
1.0
3.018 0.000 0.000
0.000 5.403 0.000
0.000 0.000 7.142
Ta B As
2 8 2
Direct
0.000 0.000 0.000 Ta
0.500 0.500 0.500 Ta
0.000 0.335 0.248 B
0.000 0.335 0.752 B
0.000 0.665 0.248 B
0.000 0.665 0.752 B
0.500 0.165 0.252 B
0.500 0.165 0.748 B
0.500 0.835 0.252 B
0.500 0.835 0.748 B
0.000 0.000 0.500 As
0.500 0.500 0.000 As
```

Peak list (12 most intense, 2θ = 10–90°, by angle)
2theta  I/Imax
20.61  44
24.93  67
33.16  39
34.03  73
41.94  52
42.65  100
51.16  16
59.80  20
62.87  26
65.81  20
77.19  17
82.52  16

Record 11
For Ho3AlGa2Ge2Ir, a crystal structure in OQMD, relaxed with PBE gives the computed PXRD pattern in this record (Cu Ka).
Kinematic intensities with the Lorentz-polarization factor, no thermal factor.

Crystal structure
```
Ho3AlGa2Ge2Ir
1.0
4.211 0.000 0.000
0.000 6.057 3.462
0.000 -6.057 3.462
Ho Al Ga Ge Ir
3 1 2 2 1
Direct
0.000 0.000 0.000 Ho
0.000 0.406 0.820 Ho
0.000 0.820 0.406 Ho
0.500 0.638 0.638 Al
0.500 0.178 0.412 Ga
0.500 0.412 0.178 Ga
0.500 0.072 0.743 Ge
0.500 0.743 0.072 Ge
0.000 0.417 0.417 Ir
```

Peak list (12 most intense, 2θ = 10–90°, by angle)
2theta  I/Imax
21.10  36
25.54  20
29.72  39
33.36  61
33.51  49
36.55  73
36.74  100
39.54  19
42.96  47
45.25  40
59.75  33
64.16  19

Record 12
For LaIn2Ni9, a crystal structure in OQMD, relaxed with PBE gives the computed PXRD pattern in this record (Cu Ka).
Kinematic intensities with the Lorentz-polarization factor, no thermal factor.

Crystal structure
```
LaIn2Ni9
1.0
8.308 0.000 0.000
0.000 8.308 0.000
0.000 0.000 4.861
La In Ni
2 4 18
Direct
0.000 0.000 0.000 La
0.500 0.500 0.000 La
0.124 0.376 0.000 In
0.376 0.876 0.000 In
0.624 0.124 0.000 In
0.876 0.624 0.000 In
0.000 0.500 0.500 Ni
0.065 0.210 0.500 Ni
0.176 0.676 0.250 Ni
0.176 0.676 0.750 Ni
0.210 0.935 0.500 Ni
0.290 0.435 0.500 Ni
0.324 0.176 0.250 Ni
0.324 0.176 0.750 Ni
0.435 0.710 0.500 Ni
0.500 0.000 0.500 Ni
0.565 0.290 0.500 Ni
0.676 0.824 0.250 Ni
0.676 0.824 0.750 Ni
0.710 0.565 0.500 Ni
0.790 0.065 0.500 Ni
0.824 0.324 0.250 Ni
0.824 0.324 0.750 Ni
0.935 0.790 0.500 Ni
```

Peak list (12 most intense, 2θ = 10–90°, by angle)
2theta  I/Imax
34.13  25
35.72  22
36.98  18
38.97  100
43.12  28
43.46  43
44.54  78
44.99  34
49.04  15
67.97  18
69.45  16
83.69  12

Record 13
For NaGdS2, a crystal structure in OQMD, relaxed with PBE gives the computed PXRD pattern in this record (Cu Ka).
Kinematic intensities with the Lorentz-polarization factor, no thermal factor.

Crystal structure
```
NaGdS2
1.0
5.473 0.000 0.000
0.000 11.393 0.000
-0.005 0.000 5.694
Na Gd S
4 4 8
Direct
0.000 0.125 0.249 Na
0.000 0.375 0.749 Na
0.000 0.625 0.251 Na
0.000 0.875 0.751 Na
0.499 0.125 0.750 Gd
0.499 0.375 0.250 Gd
0.501 0.625 0.750 Gd
0.501 0.875 0.250 Gd
0.001 0.625 0.750 S
0.001 0.875 0.250 S
0.500 0.125 0.250 S
0.500 0.375 0.750 S
0.500 0.625 0.250 S
0.500 0.875 0.750 S
0.999 0.125 0.750 S
0.999 0.375 0.250 S
```

Peak list (12 most intense, 2θ = 10–90°, by angle)
2theta  I/Imax
16.20  68
22.07  67
27.50  57
31.41  100
32.73  45
35.54  40
39.83  29
45.02  36
46.00  67
53.57  20
56.76  35
83.78  23